This entry pairs a crystal structure of YMnSi with its simulated X-ray diffraction stick pattern. Radiation: λ = 1.5418 Å (Cu Kα). Structure: a GGA-PBE-relaxed structure.
Lines closer than 0.1° are merged.

Structural model:
abc: 3.916 3.916 7.199
angles: 90.00 90.00 90.00
Positions (direct):
Y 0.250 0.250 0.169
Y 0.750 0.750 0.831
Mn 0.250 0.750 0.500
Mn 0.750 0.250 0.500
Si 0.250 0.250 0.700
Si 0.750 0.750 0.300

Principal peaks in the range 2θ from 10° to 90°, low angle first:
two_theta	I/Imax	index
25.90	58	1 0 1
32.33	24	1 1 0
33.83	95	1 0 2
34.71	84	1 1 1
37.48	31	0 0 3
41.13	100	1 1 2
46.37	66	2 0 0
56.25	28	1 0 4
58.62	37	2 1 2
61.08	28	2 0 3

This entry pairs a crystal structure of LaFeSi with its simulated X-ray diffraction stick pattern. Radiation: λ = 1.5418 Å (Cu Kα). Structure: a GGA-PBE-relaxed structure.
Lines closer than 0.1° are merged.

Structural model:
abc: 4.101 4.101 7.180
angles: 90.00 90.00 90.00
Positions (direct):
La 0.250 0.250 0.192
La 0.750 0.750 0.808
Fe 0.250 0.750 0.500
Fe 0.750 0.250 0.500
Si 0.250 0.250 0.655
Si 0.750 0.750 0.345

Principal peaks in the range 2θ from 10° to 90°, low angle first:
two_theta	I/Imax	index
25.00	100	1 0 1
30.83	31	1 1 0
33.16	64	1 0 2
33.32	38	1 1 1
39.96	79	1 1 2
44.16	51	2 0 0
51.42	29	2 1 1
55.92	24	1 0 4
56.33	27	2 1 2
73.87	21	2 1 4

This entry pairs a crystal structure of MoW3Se2S6 with its simulated X-ray diffraction stick pattern. Radiation: λ = 1.5418 Å (Cu Kα). Structure: a GGA-PBE-relaxed structure.
Lines closer than 0.1° are merged.

Structural model:
abc: 3.220 3.220 36.390
angles: 90.00 90.00 120.00
Positions (direct):
Mo 0.000 0.000 0.000
W 0.000 0.000 0.376
W 0.333 0.667 0.188
W 0.333 0.667 0.564
Se 0.333 0.667 0.047
Se 0.333 0.667 0.953
S 0.000 0.000 0.145
S 0.000 0.000 0.231
S 0.000 0.000 0.521
S 0.000 0.000 0.607
S 0.333 0.667 0.333
S 0.333 0.667 0.419

Principal peaks in the range 2θ from 10° to 90°, low angle first:
two_theta	I/Imax	index
12.16	100	0 0 5
14.61	29	0 0 6
32.12	24	1 0 0
32.49	12	0 1 2
32.96	15	1 0 3
34.45	13	1 0 5
37.85	52	1 0 8
45.94	30	0 1 13
47.84	12	1 0 14
57.24	16	1 1 0

This entry pairs a crystal structure of Y5Pb4 with its simulated X-ray diffraction stick pattern. Radiation: λ = 1.5418 Å (Cu Kα). Structure: a GGA-PBE-relaxed structure.
Lines closer than 0.1° are merged.

Structural model:
abc: 9.062 17.513 9.182
angles: 90.00 90.00 90.00
Positions (direct):
Y 0.027 0.100 0.181
Y 0.027 0.400 0.181
Y 0.120 0.617 0.339
Y 0.120 0.883 0.339
Y 0.210 0.250 0.502
Y 0.290 0.750 0.002
Y 0.380 0.117 0.839
Y 0.380 0.383 0.839
Y 0.473 0.600 0.681
Y 0.473 0.900 0.681
Y 0.527 0.100 0.319
Y 0.527 0.400 0.319
Y 0.620 0.617 0.161
Y 0.620 0.883 0.161
Y 0.710 0.250 0.998
Y 0.790 0.750 0.498
Y 0.880 0.117 0.661
Y 0.880 0.383 0.661
Y 0.973 0.600 0.819
Y 0.973 0.900 0.819
Pb 0.077 0.250 0.881
Pb 0.169 0.750 0.640
Pb 0.218 0.044 0.530
Pb 0.218 0.456 0.530
Pb 0.282 0.544 0.030
Pb 0.282 0.956 0.030
Pb 0.331 0.250 0.140
Pb 0.423 0.750 0.381
Pb 0.577 0.250 0.619
Pb 0.669 0.750 0.860
Pb 0.718 0.044 0.970
Pb 0.718 0.456 0.970
Pb 0.782 0.544 0.470
Pb 0.782 0.956 0.470
Pb 0.831 0.250 0.360
Pb 0.923 0.750 0.119

Principal peaks in the range 2θ from 10° to 90°, low angle first:
two_theta	I/Imax	index
20.52	64	1 3 1
26.59	100	1 3 2
26.73	44	2 3 1
27.66	43	2 0 2
28.16	35	0 4 2
30.00	56	2 4 1
30.63	33	0 6 0
31.23	97	3 0 1
38.60	39	1 7 1
40.38	39	1 5 3

This entry pairs a crystal structure of Be3Al2Si6HO18 with its simulated X-ray diffraction stick pattern. Radiation: λ = 1.5418 Å (Cu Kα). Structure: a GGA-PBE-relaxed structure.
Lines closer than 0.1° are merged.

Structural model:
abc: 9.301 9.301 9.294
angles: 90.00 90.00 120.00
Positions (direct):
Be 0.000 0.500 0.250
Be 0.000 0.500 0.750
Be 0.500 0.000 0.250
Be 0.500 0.000 0.750
Be 0.500 0.500 0.250
Be 0.500 0.500 0.750
Al 0.333 0.667 0.250
Al 0.333 0.667 0.750
Al 0.667 0.333 0.250
Al 0.667 0.333 0.750
Si 0.115 0.388 0.000
Si 0.115 0.728 0.500
Si 0.272 0.388 0.500
Si 0.272 0.885 0.000
Si 0.388 0.115 0.500
Si 0.388 0.272 0.000
Si 0.612 0.728 0.000
Si 0.612 0.885 0.500
Si 0.728 0.115 0.000
Si 0.728 0.612 0.500
Si 0.885 0.272 0.500
Si 0.885 0.612 0.000
H 0.000 0.000 0.250
H 0.000 0.000 0.750
O 0.074 0.310 0.500
O 0.074 0.764 0.000
O 0.145 0.499 0.145
O 0.145 0.499 0.855
O 0.145 0.646 0.355
O 0.145 0.646 0.645
O 0.236 0.310 0.000
O 0.236 0.926 0.500
O 0.310 0.074 0.000
O 0.310 0.236 0.500
O 0.354 0.499 0.355
O 0.354 0.499 0.645
O 0.354 0.855 0.145
O 0.354 0.855 0.855
O 0.499 0.145 0.355
O 0.499 0.145 0.645
O 0.499 0.354 0.145
O 0.499 0.354 0.855
O 0.501 0.646 0.145
O 0.501 0.646 0.855
O 0.501 0.855 0.355
O 0.501 0.855 0.645
O 0.646 0.145 0.145
O 0.646 0.145 0.855
O 0.646 0.501 0.355
O 0.646 0.501 0.645
O 0.690 0.764 0.500
O 0.690 0.926 0.000
O 0.764 0.074 0.500
O 0.764 0.690 0.000
O 0.855 0.354 0.355
O 0.855 0.354 0.645
O 0.855 0.501 0.145
O 0.855 0.501 0.855
O 0.926 0.236 0.000
O 0.926 0.690 0.500

Principal peaks in the range 2θ from 10° to 90°, low angle first:
two_theta	I/Imax	index
10.98	100	1 0 0
19.10	29	0 0 2
22.08	23	1 0 2
27.13	61	1 1 2
29.34	17	2 0 2
30.91	62	2 1 1
35.24	15	2 1 2
45.04	12	2 0 4
52.04	14	3 0 4
60.57	11	4 1 3